This entry pairs a crystal structure of SmDySi with its theoretical powder diffraction line list. Radiation: Cu Kα X-rays. Structure: a structure optimized by DFT (GGA-PBE).
Intensities are scaled so that the largest is 100.

Structural model:
Unit cell a=4.9002 b=4.9002 c=4.9002 alpha=60.00 beta=60.00 gamma=60.00
Fractional coordinates of all 3 atoms:
Sm: 0.0000 0.0000 0.0000
Dy: 0.5000 0.5000 0.5000
Si: 0.7500 0.7500 0.7500

Principal peaks in the range 2θ from 15° to 90°, sorted by position:
22.22 deg, rel. 2; 25.71 deg, rel. 86; 36.68 deg, rel. 100; 45.33 deg, rel. 26; 52.84 deg, rel. 18; 59.67 deg, rel. 34; 66.05 deg, rel. 36; 78.00 deg, rel. 11; 83.74 deg, rel. 16; 89.43 deg, rel. 17


This entry pairs a crystal structure of DySiSn2 with its theoretical powder diffraction line list. Radiation: Cu Kα X-rays. Structure: a structure optimized by DFT (GGA-PBE).
Intensities are scaled so that the largest is 100.

Structural model:
Unit cell a=3.5664 b=3.5664 c=10.0173 alpha=90.00 beta=90.00 gamma=120.00
Fractional coordinates of all 4 atoms:
Dy: 0.0000 0.0000 0.0000
Si: 0.6667 0.3333 0.5000
Sn: 0.0000 0.0000 0.3108
Sn: 0.0000 0.0000 0.6892

Principal peaks in the range 2θ from 15° to 90°, sorted by position:
26.70 deg, rel. 33; 28.91 deg, rel. 100; 39.75 deg, rel. 89; 51.23 deg, rel. 26; 58.70 deg, rel. 23; 59.89 deg, rel. 13; 63.32 deg, rel. 14; 66.73 deg, rel. 20; 82.66 deg, rel. 11; 88.79 deg, rel. 20


This entry pairs a crystal structure of TbDySi2Sn2 with its theoretical powder diffraction line list. Radiation: Cu Kα X-rays. Structure: a structure optimized by DFT (GGA-PBE).
Intensities are scaled so that the largest is 100.

Structural model:
Unit cell a=3.9532 b=8.5099 c=8.5099 alpha=29.14 beta=90.00 gamma=90.00
Fractional coordinates of all 6 atoms:
Tb: 0.0000 0.0000 0.0000
Dy: 0.5000 0.1876 0.1876
Si: 0.0000 0.6400 0.6400
Si: 0.5000 0.5492 0.5492
Sn: 0.0000 0.3511 0.3511
Sn: 0.5000 0.8357 0.8357

Principal peaks in the range 2θ from 15° to 90°, sorted by position:
21.44 deg, rel. 18; 24.98 deg, rel. 27; 32.62 deg, rel. 24; 34.34 deg, rel. 21; 34.95 deg, rel. 100; 42.21 deg, rel. 16; 45.91 deg, rel. 13; 54.34 deg, rel. 12; 59.72 deg, rel. 13; 72.48 deg, rel. 12